[1]
# Tb4Be
Simulated PXRD pattern, Cu Kα. Input: the PBE geometry in Alexandria.
Intensities are scaled so that the largest is 100.

Structural model:
abc: 5.3213 5.3213 5.3213
angles: 90.00 90.00 90.00
Space group Pm-3m (No. 221)
One atom of each set of equivalent atoms:
Tb 0.0000 0.0000 0.0000
Tb 0.0000 0.5000 0.5000
Be 0.5000 0.5000 0.5000

Peak list (8 most intense, 10 to 90 degrees two-theta, sorted by position)
index  2θ/deg  Rel. int.
1 1 1  29.07  100
2 0 0  33.69  53
2 2 0  48.38  39
3 1 1  57.44  45
2 2 2  60.25  13
4 0 0  70.83  6
3 3 1  78.32  18
4 2 0  80.77  17

[2]
# Tb2DyHoTe5
Simulated PXRD pattern, Cu Kα. Input: the PBE geometry in Alexandria.
Intensities are scaled so that the largest is 100.

Structural model:
abc: 5.5223 5.5223 11.5283
angles: 90.00 90.00 90.00
Space group P4/mmm (No. 123)
One atom of each set of equivalent atoms:
Tb 0.0000 0.0000 0.1519
Dy 0.5000 0.5000 0.5000
Ho 0.5000 0.5000 0.0000
Te 0.0000 0.0000 0.5000
Te 0.0000 0.5000 0.0000
Te 0.5000 0.5000 0.2537

Peak list (12 most intense, 10 to 90 degrees two-theta, sorted by position)
index  2θ/deg  Rel. int.
0 0 2  15.37  23
1 1 0  22.77  90
1 0 3  28.29  36
2 0 0  32.43  100
1 1 3  32.70  53
1 0 4  35.12  49
2 1 3  43.56  22
2 0 4  45.49  24
2 2 0  46.51  37
2 1 4  48.55  39
3 1 0  52.39  19
3 1 3  58.01  20

[3]
# CsSe2S2
Simulated PXRD pattern, Cu Kα. Input: the PBE geometry in Alexandria.
Intensities are scaled so that the largest is 100.

Structural model:
abc: 5.3282 5.6036 6.8912
angles: 111.89 112.69 91.33
Space group P-1 (No. 2)
One atom of each set of equivalent atoms:
Cs 0.0000 0.0000 0.0000
Se 0.3462 0.2282 0.6787
S 0.2778 0.8178 0.5607

Peak list (12 most intense, 10 to 90 degrees two-theta, sorted by position)
index  2θ/deg  Rel. int.
0 1 0  17.39  71
1 -1 0  22.78  37
1 1 -1  23.31  38
0 1 1  27.69  32
1 -1 1  27.91  42
1 1 -2  28.18  35
1 0 -2  28.45  100
1 0 1  28.70  66
0 2 -1  31.97  22
2 0 -1  33.65  52
2 1 0  44.57  18
1 -3 2  54.57  16

[4]
# Tm2P3Pd5
Simulated PXRD pattern, Cu Kα. Input: the PBE geometry in Alexandria.
Intensities are scaled so that the largest is 100.

Structural model:
abc: 4.1356 23.4632 6.8640
angles: 90.00 90.00 90.00
Space group Cmc2_1 (No. 36)
One atom of each set of equivalent atoms:
Tm 0.0000 0.0239 0.0000
Tm 0.0000 0.3255 0.0397
P 0.0000 0.1094 0.7092
P 0.0000 0.2703 0.5872
P 0.0000 0.4554 0.7871
Pd 0.0000 0.0983 0.3517
Pd 0.0000 0.1991 0.8807
Pd 0.0000 0.2222 0.2807
Pd 0.0000 0.3717 0.5710
Pd 0.0000 0.4448 0.1941

Peak list (12 most intense, 10 to 90 degrees two-theta, sorted by position)
index  2θ/deg  Rel. int.
1 1 2  34.16  31
0 6 2  34.78  29
1 3 2  35.89  100
1 7 1  36.92  90
0 10 1  40.64  29
1 9 0  40.92  27
0 4 3  42.40  27
2 0 0  43.78  45
2 6 2  57.09  14
2 10 1  61.26  17
2 4 3  62.59  17
1 13 3  70.21  20

[5]
# ErTm6Tl4
Simulated PXRD pattern, Cu Kα. Input: the PBE geometry in Alexandria.
Intensities are scaled so that the largest is 100.

Structural model:
abc: 6.3065 6.3065 16.5157
angles: 90.00 90.00 90.00
Space group I-42m (No. 121)
One atom of each set of equivalent atoms:
Er 0.0000 0.0000 0.0000
Tm 0.0000 0.5000 0.0000
Tm 0.2360 0.2360 0.6794
Tl 0.2439 0.2439 0.8651

Peak list (12 most intense, 10 to 90 degrees two-theta, sorted by position)
index  2θ/deg  Rel. int.
2 0 0  28.30  42
1 1 4  29.48  20
2 0 2  30.34  80
0 0 6  32.53  31
2 0 4  35.83  100
1 1 6  38.43  46
2 2 0  40.46  67
2 2 6  52.84  31
3 1 6  57.03  29
4 0 0  58.55  23
4 2 4  70.58  27
3 1 10  74.61  20

[6]
# BaCd4Ge
Simulated PXRD pattern, Cu Kα. Input: the PBE geometry in Alexandria.
Intensities are scaled so that the largest is 100.

Structural model:
abc: 4.7334 17.6173 7.6370
angles: 90.00 90.00 90.00
Space group Cmcm (No. 63)
One atom of each set of equivalent atoms:
Ba 0.0000 0.1283 0.2500
Cd 0.0000 0.0655 0.7500
Cd 0.0000 0.3280 0.0578
Cd 0.0000 0.5000 0.0000
Ge 0.0000 0.2300 0.7500

Peak list (12 most intense, 10 to 90 degrees two-theta, sorted by position)
index  2θ/deg  Rel. int.
1 1 2  30.50  100
1 5 0  31.66  33
0 6 1  32.67  18
1 5 1  33.81  56
2 0 0  38.02  35
0 6 2  38.68  26
1 7 0  40.58  19
0 4 3  40.95  10
2 6 1  50.98  10
2 6 2  55.36  17
3 1 2  64.08  11
1 5 5  70.02  10